Starting from a cell relaxed with PBE+U, the PXRD pattern of V2O2F3 was simulated for Cu Kα (weighted mean of Kα1 and Kα2).
Kinematic intensities with the Lorentz-polarization factor, no thermal factor.

a = 5.6044 Å, b = 5.6044 Å, c = 7.2432 Å
α = 108.24°, β = 108.24°, γ = 54.51°
Fractional coordinates of all 14 atoms:
V 0.0099 0.9901 0.5000
V 0.3933 0.4181 0.2587
V 0.4181 0.3933 0.7587
V 0.9901 0.0099 0.0000
O 0.1587 0.8311 0.2338
O 0.2284 0.6088 0.5215
O 0.6088 0.2284 0.0215
O 0.8311 0.1587 0.7338
F 0.0113 0.6432 0.8458
F 0.0955 0.3088 0.1300
F 0.3088 0.0955 0.6300
F 0.3935 0.7646 0.9193
F 0.6432 0.0113 0.3458
F 0.7646 0.3935 0.4193

The 8 most intense peaks (10° ≤ 2θ ≤ 90°), low angle first:
19.03°, rel. 100
19.74°, rel. 29
26.51°, rel. 28
30.20°, rel. 71
33.71°, rel. 19
40.01°, rel. 30
52.18°, rel. 24
52.89°, rel. 21